Structure and simulated powder X-ray diffraction pattern of Li7Fe8B8O24 (DFT lattice parameters and positions (PBE+U); Cu Kα (λ = 1.5418 Å)).
Neutral-atom scattering factors, no anomalous dispersion.

Structure:
Cell: 5.2401 8.9945 10.3369 Å, 90.09 91.61 90.25°
Sites, in units of the cell vectors:
Li  0.0000  0.0000  0.0000
Li  0.0021  0.0146  0.5088
Li  0.1698  0.5125  0.2652
Li  0.4858  0.4913  0.0019
Li  0.4936  0.5043  0.5081
Li  0.6735  0.0133  0.2556
Li  0.6809  0.9880  0.7576
Fe  0.0030  0.6730  0.5472
Fe  0.1793  0.8423  0.2817
Fe  0.1834  0.1884  0.7903
Fe  0.4999  0.1654  0.5401
Fe  0.5016  0.8388  0.0308
Fe  0.6735  0.6470  0.7899
Fe  0.6770  0.3414  0.2905
Fe  0.9982  0.3386  0.0426
B  0.1696  0.1697  0.2999
B  0.1699  0.8412  0.7874
B  0.4999  0.1709  0.0513
B  0.5097  0.8311  0.5451
B  0.6633  0.3241  0.7991
B  0.6671  0.6747  0.3014
B  0.9968  0.3433  0.5400
B  0.9989  0.6708  0.0468
O  0.0198  0.0429  0.3145
O  0.0362  0.9695  0.8070
O  0.0374  0.7163  0.7360
O  0.0567  0.3031  0.2623
O  0.1127  0.8091  0.0743
O  0.1191  0.2112  0.5723
O  0.1352  0.4761  0.5377
O  0.1416  0.5438  0.0689
O  0.2456  0.1630  0.0133
O  0.2497  0.8346  0.5104
O  0.4314  0.1622  0.3280
O  0.4309  0.8310  0.8190
O  0.5152  0.4494  0.8083
O  0.5243  0.5463  0.3113
O  0.5563  0.8053  0.2561
O  0.5566  0.1905  0.7510
O  0.6131  0.3075  0.0836
O  0.6268  0.6933  0.5683
O  0.6480  0.0424  0.0592
O  0.6518  0.9592  0.5562
O  0.7385  0.3442  0.5074
O  0.7458  0.6627  0.0019
O  0.9142  0.3258  0.8422
O  0.9276  0.6755  0.3411

Most intense lines, 15° ≤ 2θ ≤ 90°, in order of falling intensity:
(0 0 4), 2θ 34.73, rel. 100
(1 -1 1), 2θ 21.56, rel. 81
(0 2 0), 2θ 19.74, rel. 51
(1 1 -2), 2θ 25.86, rel. 50
(1 1 1), 2θ 21.67, rel. 37
(1 -1 2), 2θ 26.49, rel. 36
(1 3 0), 2θ 34.54, rel. 34
(1 -3 0), 2θ 34.40, rel. 31
(1 -1 0), 2θ 19.61, rel. 27
(2 0 0), 2θ 34.24, rel. 26